This entry pairs a crystal structure of Mg3Cu with its theoretical powder diffraction line list. Radiation: Cu Kα (λ = 1.5418 Å). Structure: a DFT-relaxed cell (PBE, Alexandria).
Neutral-atom scattering factors, no anomalous dispersion.

Most intense lines, 10° ≤ 2θ ≤ 90°, sorted by position:
- 2θ 21.0, intensity 30
- 2θ 24.8, intensity 57
- 2θ 39.2, intensity 100
- 2θ 39.3, intensity 85
- 2θ 45.0, intensity 31
- 2θ 56.7, intensity 24

```
Mg3Cu
1.0
7.9390 0.0000 0.0000
-3.9695 6.8754 0.0000
0.0000 0.0000 8.4705
Mg Cu
18 6
direct
0.0000 0.0000 0.0988
0.0000 0.0000 0.5988
0.0000 0.2763 0.3422
0.0000 0.3794 0.0000
0.0000 0.6206 0.5000
0.0000 0.7237 0.8422
0.2763 0.0000 0.3422
0.2763 0.2763 0.8422
0.3333 0.6667 0.2230
0.3333 0.6667 0.7230
0.3794 0.0000 0.0000
0.3794 0.3794 0.5000
0.6206 0.0000 0.5000
0.6206 0.6206 0.0000
0.6667 0.3333 0.2230
0.6667 0.3333 0.7230
0.7237 0.0000 0.8422
0.7237 0.7237 0.3422
0.0000 0.3274 0.6716
0.0000 0.6726 0.1716
0.3274 0.0000 0.6716
0.3274 0.3274 0.1716
0.6726 0.0000 0.1716
0.6726 0.6726 0.6716
```